The following is a simulated powder diffraction line list of PmInPt2. It was derived from a structure optimized by DFT (GGA-PBE), using copper Kα.
Kinematic intensities with the Lorentz-polarization factor, no thermal factor.

Atomic structure:
```
16
Lattice="6.9223 0.0000 0.0000 0.0000 6.9223 0.0000 0.0000 0.0000 6.9223" Properties=species:S:1:pos:R:3 pbc="T T T"
Pm 0.0000 0.0000 0.0000
Pm 0.0000 3.4612 3.4612
Pm 3.4612 0.0000 3.4612
Pm 3.4612 3.4612 0.0000
In 0.0000 0.0000 3.4612
In 0.0000 3.4612 0.0000
In 3.4612 0.0000 0.0000
In 3.4612 3.4612 3.4612
Pt 1.7306 1.7306 1.7306
Pt 1.7306 1.7306 5.1917
Pt 1.7306 5.1917 1.7306
Pt 1.7306 5.1917 5.1917
Pt 5.1917 1.7306 1.7306
Pt 5.1917 1.7306 5.1917
Pt 5.1917 5.1917 1.7306
Pt 5.1917 5.1917 5.1917
```

Most intense lines, 2θ from 10° to 90°, by angle:
2θ = 22.24°, I = 1; 2θ = 25.74°, I = 4; 2θ = 36.72°, I = 100; 2θ = 45.39°, I = 1; 2θ = 52.91°, I = 18; 2θ = 59.74°, I = 2; 2θ = 66.13°, I = 36; 2θ = 78.10°, I = 11; 2θ = 83.86°, I = 1; 2θ = 89.55°, I = 17

The following is a simulated powder diffraction line list of UNbO5. It was derived from a structure optimized by DFT (GGA-PBE), using copper Kα.
Kinematic intensities with the Lorentz-polarization factor, no thermal factor.

Atomic structure:
```
14
Lattice="4.1333 0.0000 0.0000 0.0000 6.5052 0.0000 0.0000 0.0000 7.5465" Properties=species:S:1:pos:R:3 pbc="T T T"
U 0.0000 0.2772 1.8866
U 0.0000 6.2279 5.6599
Nb 0.3113 3.2526 0.0000
Nb 3.8220 3.2526 3.7732
O 0.0000 2.6820 1.8866
O 0.0000 3.8231 5.6599
O 0.0178 1.2599 7.2050
O 0.0178 5.2453 0.3415
O 2.0302 3.2526 3.7732
O 2.0666 0.3223 1.8866
O 2.0666 6.1829 5.6599
O 2.1030 3.2526 0.0000
O 4.1155 1.2599 4.1147
O 4.1155 5.2453 3.4317
```

Most intense lines, 2θ from 10° to 90°, by angle:
2θ = 13.61°, I = 21; 2θ = 21.50°, I = 65; 2θ = 25.53°, I = 13; 2θ = 27.35°, I = 100; 2θ = 35.05°, I = 61; 2θ = 43.81°, I = 12; 2θ = 48.24°, I = 10; 2θ = 48.42°, I = 13; 2θ = 52.42°, I = 26; 2θ = 53.55°, I = 12

The following is a simulated powder diffraction line list of BaTbEuBiO6. It was derived from a structure optimized by DFT (GGA-PBE), using copper Kα.
Kinematic intensities with the Lorentz-polarization factor, no thermal factor.

Atomic structure:
```
20
Lattice="6.1005 0.0000 0.0000 -0.0210 6.2187 0.0000 -0.0111 -0.0111 8.7077" Properties=species:S:1:pos:R:3 pbc="T T T"
Ba 0.0511 0.2205 2.1792
Ba 6.0174 5.9871 6.5285
Tb -0.0160 3.1038 4.3538
Tb 3.0502 0.0000 0.0000
Eu 2.9700 3.4002 2.1859
Eu 3.0984 2.8074 6.5218
Bi -0.0105 3.1093 0.0000
Bi 3.0447 -0.0055 4.3538
O 0.6506 3.1768 6.5822
O 1.2610 4.8463 0.4051
O 1.3143 4.8895 3.9610
O 1.7908 1.9025 0.4752
O 1.8728 1.8478 3.8956
O 2.5914 0.2976 6.4950
O 3.4770 5.9100 2.2127
O 4.1956 4.3598 4.8120
O 4.2776 4.3051 8.2325
O 4.7541 1.3181 4.7467
O 4.8074 1.3613 8.3026
O 5.4178 3.0308 2.1255
```

Most intense lines, 2θ from 10° to 90°, by angle:
2θ = 28.71°, I = 24; 2θ = 29.00°, I = 100; 2θ = 29.28°, I = 24; 2θ = 41.44°, I = 24; 2θ = 41.54°, I = 12; 2θ = 51.02°, I = 13; 2θ = 51.58°, I = 11; 2θ = 51.72°, I = 17; 2θ = 60.06°, I = 10; 2θ = 68.11°, I = 11

The following is a simulated powder diffraction line list of CoCl2. It was derived from a structure optimized by DFT (GGA-PBE), using copper Kα.
Kinematic intensities with the Lorentz-polarization factor, no thermal factor.

Atomic structure:
```
3
Lattice="3.5277 0.0000 0.0000 -1.7638 3.0551 0.0000 0.0000 0.0000 16.5929" Properties=species:S:1:pos:R:3 pbc="T T T"
Co 0.0000 0.0000 0.0000
Cl 0.0000 2.0367 1.3363
Cl 1.7638 1.0184 15.2566
```

Most intense lines, 2θ from 10° to 90°, by angle:
2θ = 10.66°, I = 100; 2θ = 16.02°, I = 17; 2θ = 29.73°, I = 9; 2θ = 31.20°, I = 20; 2θ = 33.51°, I = 27; 2θ = 36.53°, I = 25; 2θ = 40.12°, I = 20; 2θ = 44.17°, I = 15; 2θ = 48.62°, I = 11; 2θ = 52.15°, I = 14

The following is a simulated powder diffraction line list of NaH9O5. It was derived from a structure optimized by DFT (GGA-PBE), using copper Kα.
Kinematic intensities with the Lorentz-polarization factor, no thermal factor.

Atomic structure:
```
30
Lattice="7.7532 -2.0441 0.0000 7.7532 2.0441 0.0000 -4.2531 0.0000 8.4245" Properties=species:S:1:pos:R:3 pbc="T T T"
Na -0.8217 0.0000 3.0246
Na 12.0751 0.0000 5.4000
H 4.1881 1.2572 2.5057
H 1.7007 0.7771 4.0067
H 0.9865 0.8058 7.4947
H 2.2383 0.0076 2.7189
H 4.2260 0.0019 0.8666
H 7.0653 1.2572 5.9188
H 3.1333 0.0009 7.0018
H 6.6203 0.0024 0.9608
H 10.2669 0.8058 0.9299
H 0.9879 -0.8013 7.4938
H 4.6331 0.0024 7.4638
H 8.1202 0.0009 1.4228
H 9.5527 0.7771 4.4179
H 4.1876 -1.2528 2.5058
H 7.0274 0.0019 7.5580
H 9.0151 0.0076 5.7057
H 10.2656 -0.8013 0.9307
H 7.0659 -1.2528 5.9187
O -1.0553 0.0022 5.4167
O 1.5203 -0.0051 3.3982
O 3.4989 0.0018 1.5259
O 1.5090 0.0025 7.8240
O 4.0659 0.0030 6.6524
O 7.1875 0.0030 1.7721
O 9.7444 0.0025 0.6006
O 7.7546 0.0018 6.8986
O 9.7331 -0.0051 5.0264
O 12.3087 0.0022 3.0079
```

Most intense lines, 2θ from 10° to 90°, by angle:
2θ = 23.78°, I = 35; 2θ = 26.27°, I = 100; 2θ = 30.65°, I = 35; 2θ = 34.03°, I = 33; 2θ = 34.92°, I = 25; 2θ = 36.92°, I = 26; 2θ = 40.46°, I = 24; 2θ = 44.31°, I = 35; 2θ = 46.25°, I = 31; 2θ = 46.64°, I = 24

The following is a simulated powder diffraction line list of MgZn2. It was derived from a structure optimized by DFT (GGA-PBE), using copper Kα.
Kinematic intensities with the Lorentz-polarization factor, no thermal factor.

Atomic structure:
```
12
Lattice="4.6165 0.0000 0.0000 0.0000 2.9709 0.0000 0.0000 0.0000 15.2096" Properties=species:S:1:pos:R:3 pbc="T T T"
Mg 0.0000 0.0000 0.0000
Mg 0.0000 0.0000 4.8768
Mg 0.0000 1.4854 7.6048
Mg 0.0000 1.4854 12.4816
Zn 0.0000 0.0000 10.0582
Zn 0.0000 1.4854 2.4534
Zn 2.3082 0.0000 1.6860
Zn 2.3082 0.0000 6.6487
Zn 2.3082 0.0000 11.6412
Zn 2.3082 1.4854 4.0364
Zn 2.3082 1.4854 9.2908
Zn 2.3082 1.4854 14.2535
```

Most intense lines, 2θ from 10° to 90°, by angle:
2θ = 11.64°, I = 19; 2θ = 19.23°, I = 16; 2θ = 35.01°, I = 30; 2θ = 39.02°, I = 36; 2θ = 40.24°, I = 100; 2θ = 40.60°, I = 49; 2θ = 53.42°, I = 17; 2θ = 63.31°, I = 16; 2θ = 71.51°, I = 17; 2θ = 76.94°, I = 16